1.
Theoretical XRD peak list of Na4MgBr5 for CuKα, from the GGA-PBE geometry in Alexandria.
Lines closer than 0.1° are merged.

Atomic structure:
```
data_Na4MgBr5
_cell_length_a 7.469
_cell_length_b 7.469
_cell_length_c 7.469
_cell_angle_alpha 99.19
_cell_angle_beta 99.19
_cell_angle_gamma 132.89
_space_group_name_H-M_alt 'P 1'
_space_group_IT_number 1
loop_
_space_group_symop_operation_xyz
'x,y,z'
loop_
_atom_site_label
_atom_site_type_symbol
_atom_site_fract_x
_atom_site_fract_y
_atom_site_fract_z
_atom_site_occupancy
Na1 Na 0.103 0.699 0.802 1
Na2 Na 0.301 0.103 0.404 1
Na3 Na 0.699 0.897 0.596 1
Na4 Na 0.897 0.301 0.198 1
Mg1 Mg 0.500 0.500 0.000 1
Br1 Br 0.000 0.000 0.000 1
Br2 Br 0.196 0.398 0.594 1
Br3 Br 0.398 0.804 0.201 1
Br4 Br 0.602 0.196 0.799 1
Br5 Br 0.804 0.602 0.406 1
```

The 12 most intense peaks (5° ≤ 2θ ≤ 70°), low angle first:
2θ/deg  I_rel
25.4  82
29.2  100
29.9  47
41.7  37
42.3  71
49.5  26
50.5  12
52.2  37
60.5  12
67.5  10
68.5  16
68.9  16

***

2.
Theoretical XRD peak list of CsTe2Pd for CuKα, from the GGA-PBE geometry in Alexandria.
Lines closer than 0.1° are merged.

Atomic structure:
```
data_CsTe2Pd
_cell_length_a 6.054
_cell_length_b 6.054
_cell_length_c 4.114
_cell_angle_alpha 90.00
_cell_angle_beta 90.00
_cell_angle_gamma 109.79
_space_group_name_H-M_alt 'P 1'
_space_group_IT_number 1
loop_
_space_group_symop_operation_xyz
'x,y,z'
loop_
_atom_site_label
_atom_site_type_symbol
_atom_site_fract_x
_atom_site_fract_y
_atom_site_fract_z
_atom_site_occupancy
Cs1 Cs 0.000 0.000 0.000 1
Te1 Te 0.330 0.670 0.500 1
Te2 Te 0.670 0.330 0.500 1
Pd1 Pd 0.500 0.500 0.000 1
```

The 12 most intense peaks (5° ≤ 2θ ≤ 70°), low angle first:
2θ/deg  I_rel
15.6  27
25.6  100
26.7  30
28.2  91
30.0  41
37.2  32
38.4  79
42.6  25
44.0  23
50.4  31
51.6  29
60.7  20

***

3.
Theoretical XRD peak list of RbTl3As for CuKα, from the GGA-PBE geometry in Alexandria.
Lines closer than 0.1° are merged.

Atomic structure:
```
data_RbTl3As
_cell_length_a 7.209
_cell_length_b 6.951
_cell_length_c 6.910
_cell_angle_alpha 90.00
_cell_angle_beta 90.00
_cell_angle_gamma 90.00
_space_group_name_H-M_alt 'P 1'
_space_group_IT_number 1
loop_
_space_group_symop_operation_xyz
'x,y,z'
loop_
_atom_site_label
_atom_site_type_symbol
_atom_site_fract_x
_atom_site_fract_y
_atom_site_fract_z
_atom_site_occupancy
Rb1 Rb 0.000 0.230 0.000 1
Rb2 Rb 0.500 0.770 0.500 1
Tl1 Tl 0.000 0.878 0.378 1
Tl2 Tl 0.246 0.726 0.996 1
Tl3 Tl 0.254 0.274 0.496 1
Tl4 Tl 0.500 0.122 0.878 1
Tl5 Tl 0.746 0.274 0.496 1
Tl6 Tl 0.754 0.726 0.996 1
As1 As 0.000 0.586 0.657 1
As2 As 0.500 0.414 0.157 1
```

The 12 most intense peaks (5° ≤ 2θ ≤ 70°), low angle first:
2θ/deg  I_rel
18.1  18
21.9  17
25.6  19
25.8  25
28.8  16
30.8  100
36.7  20
38.3  14
41.1  19
41.3  12
59.3  13
62.4  14